Starting from a crystal structure in OQMD, relaxed with PBE, the X-ray diffraction stick pattern of BaDyCuSeS2 was calculated for Cu Kα X-rays.
Lines closer than 0.1° are merged.

The 10 most intense peaks (2θ = 10–90°), in order of rising 2θ:
- 12.69 deg, I = 53, hkl 0 2 0
- 21.14 deg, I = 56, hkl 0 2 2
- 25.55 deg, I = 32, hkl 0 4 0
- 28.48 deg, I = 30, hkl 1 1 2
- 30.44 deg, I = 100, hkl 1 3 1
- 33.90 deg, I = 72, hkl 1 3 2
- 34.05 deg, I = 49, hkl 0 0 4
- 42.51 deg, I = 31, hkl 0 6 2
- 42.92 deg, I = 36, hkl 1 5 2
- 44.64 deg, I = 31, hkl 2 0 0

Crystal structure
```
data_BaDyCuSeS2
_space_group_name_H-M_alt 'C m c m'
_space_group_IT_number 63
_space_group_name_Hall '-C 2c 2'
_cell_length_a 4.060
_cell_length_b 13.948
_cell_length_c 10.532
_cell_angle_alpha 90.00
_cell_angle_beta 90.00
_cell_angle_gamma 90.00
loop_
_atom_site_label
_atom_site_fract_x
_atom_site_fract_y
_atom_site_fract_z
_atom_site_occupancy
Ba1 0.000 0.242 0.250 1
Dy1 0.000 0.000 0.000 1
Cu1 0.000 0.470 0.750 1
Se1 0.000 0.077 0.750 1
S1 0.000 0.374 0.568 1
```